1.
This entry pairs a crystal structure of Na2BiO3 with its theoretical X-ray diffraction stick pattern. Radiation: Cu Kα. Structure: a crystal structure in the Materials Project, relaxed with GGA-PBE.
Neutral-atom scattering factors, no anomalous dispersion.

Unit cell a=5.9828 b=5.9828 c=5.9525 alpha=99.80 beta=99.80 gamma=119.80
Positions (direct):
1 Na 0.0000 0.0000 0.0000
2 Na 0.1588 0.8412 0.5000
3 Na 0.5000 0.5000 0.5000
4 Na 0.8412 0.1588 0.5000
5 Bi 0.3331 0.6669 0.0000
6 Bi 0.6669 0.3331 0.0000
7 O 0.0735 0.4371 0.2191
8 O 0.2860 0.2860 0.7748
9 O 0.4371 0.0735 0.2191
10 O 0.5629 0.9265 0.7809
11 O 0.7140 0.7140 0.2252
12 O 0.9265 0.5629 0.7809

Top 8 peaks for 10° ≤ 2θ ≤ 90°, low angle first:
2theta  intensity
15.83  100
17.90  37
20.08  29
30.36  38
31.72  76
36.75  33
36.93  65
53.29  32

2.
This entry pairs a crystal structure of Na8BiO3 with its theoretical X-ray diffraction stick pattern. Radiation: Cu Kα. Structure: a crystal structure in the Materials Project, relaxed with GGA-PBE.
Neutral-atom scattering factors, no anomalous dispersion.

Unit cell a=6.1876 b=6.1876 c=6.1876 alpha=90.00 beta=90.00 gamma=90.00
Positions (direct):
1 Na 0.2285 0.2285 0.2285
2 Na 0.2285 0.2285 0.7715
3 Na 0.2285 0.7715 0.2285
4 Na 0.2285 0.7715 0.7715
5 Na 0.7715 0.2285 0.2285
6 Na 0.7715 0.2285 0.7715
7 Na 0.7715 0.7715 0.2285
8 Na 0.7715 0.7715 0.7715
9 Bi 0.5000 0.5000 0.5000
10 O 0.0000 0.0000 0.5000
11 O 0.0000 0.5000 0.0000
12 O 0.5000 0.0000 0.0000

Top 8 peaks for 10° ≤ 2θ ≤ 90°, low angle first:
2theta  intensity
14.31  75
20.30  100
24.92  76
32.35  81
35.54  48
41.27  86
43.90  36
48.81  36

3.
This entry pairs a crystal structure of Na2BiO3 with its theoretical X-ray diffraction stick pattern. Radiation: Cu Kα. Structure: a crystal structure in the Materials Project, relaxed with GGA-PBE.
Neutral-atom scattering factors, no anomalous dispersion.

Unit cell a=11.4382 b=10.8912 c=5.9810 alpha=79.58 beta=69.47 gamma=30.95
Positions (direct):
1 Na 0.0460 0.0460 0.2040
2 Na 0.1216 0.1216 0.6284
3 Na 0.2040 0.2040 0.0460
4 Na 0.3716 0.3716 0.8784
5 Na 0.6284 0.6284 0.1216
6 Na 0.7960 0.7960 0.9540
7 Na 0.8784 0.8784 0.3716
8 Na 0.9540 0.9540 0.7960
9 Bi 0.2911 0.2911 0.4589
10 Bi 0.4589 0.4589 0.2911
11 Bi 0.5411 0.5411 0.7089
12 Bi 0.7089 0.7089 0.5411
13 O 0.0417 0.5273 0.2448
14 O 0.1536 0.5964 0.5964
15 O 0.2448 0.6863 0.0417
16 O 0.3137 0.7552 0.4727
17 O 0.4036 0.8464 0.8464
18 O 0.4727 0.9583 0.3137
19 O 0.5273 0.0417 0.6863
20 O 0.5964 0.1536 0.1536
21 O 0.6863 0.2448 0.5273
22 O 0.7552 0.3137 0.9583
23 O 0.8464 0.4036 0.4036
24 O 0.9583 0.4727 0.7552

Top 8 peaks for 10° ≤ 2θ ≤ 90°, low angle first:
2theta  intensity
16.34  100
20.06  21
26.77  32
30.62  19
31.80  66
36.69  24
36.97  47
53.09  39